1.
The following is a calculated X-ray diffraction stick pattern of LuCo4B. It was derived from a DFT-relaxed cell (GGA-PBE, the Materials Project), using a wavelength of 1.5418 Å.
Kinematic intensities with the Lorentz-polarization factor, no thermal factor.

Top 10 peaks for 2θ = 10–80°, in order of rising 2θ:
d_spacing, Position (°2θ), I_rel
4.297, 20.67, 23
2.675, 33.50, 98
2.481, 36.21, 35
2.149, 42.05, 73
2.008, 45.16, 100
1.467, 63.41, 31
1.407, 66.44, 15
1.337, 70.40, 18
1.321, 71.40, 27
1.240, 76.85, 20

Structure:
abc: 4.9618 4.9618 6.8347
angles: 90.00 90.00 120.00
Space group P6/mmm (No. 191)
Inequivalent atoms, fractional coordinates:
Lu1 0.0000 0.0000 0.0000 x1
Lu2 0.0000 0.0000 0.5000 x1
Co1 0.0000 0.5000 0.2126 x6
Co2 0.3333 0.6667 0.5000 x2
B1 0.3333 0.6667 0.0000 x2

2.
The following is a calculated X-ray diffraction stick pattern of ThFe3Co2. It was derived from a DFT-relaxed cell (GGA-PBE, the Materials Project), using a wavelength of 1.5418 Å.
Kinematic intensities with the Lorentz-polarization factor, no thermal factor.

Top 10 peaks for 2θ = 10–80°, in order of rising 2θ:
d_spacing, Position (°2θ), I_rel
4.243, 20.94, 18
2.920, 30.62, 75
2.450, 36.69, 40
2.121, 42.62, 36
2.093, 43.24, 100
2.012, 45.05, 24
1.555, 59.44, 20
1.490, 62.33, 21
1.460, 63.74, 22
1.334, 70.59, 22

Structure:
abc: 4.8994 4.8994 4.0247
angles: 90.00 90.00 120.00
Space group P6/mmm (No. 191)
Inequivalent atoms, fractional coordinates:
Th1 0.0000 0.0000 0.0000 x1
Fe1 0.0000 0.5000 0.5000 x3
Co1 0.3333 0.6667 0.0000 x2

3.
The following is a calculated X-ray diffraction stick pattern of CeGaO3. It was derived from a DFT-relaxed cell (GGA-PBE, the Materials Project), using a wavelength of 1.5418 Å.
Kinematic intensities with the Lorentz-polarization factor, no thermal factor.

Top 9 peaks for 2θ = 10–80°, in order of rising 2θ:
d_spacing, Position (°2θ), I_rel
3.894, 22.84, 7
2.754, 32.51, 100
2.248, 40.10, 13
1.947, 46.65, 32
1.742, 52.55, 4
1.590, 58.01, 39
1.377, 68.10, 19
1.298, 72.86, 2
1.232, 77.51, 17

Structure:
abc: 3.894 3.894 3.894
angles: 90.00 90.00 90.00
Space group Pm-3m (No. 221)
Inequivalent atoms, fractional coordinates:
Ce1 0.000 0.000 0.000 x1
Ga1 0.500 0.500 0.500 x1
O1 0.000 0.500 0.500 x3